1.
Starting from the PBE geometry in the Materials Project, the powder X-ray diffraction pattern of TiZnAgP3O12 was calculated for a wavelength of 1.5418 Å.
Lines closer than 0.1° are merged.

Crystal structure
a = 8.8094 Å, b = 8.8094 Å, c = 20.7503 Å
α = 90.00°, β = 90.00°, γ = 120.00°
Space group R3c (No. 161, hexagonal axes)
Inequivalent atoms, fractional coordinates:
Ti (0.0000, 0.0000, 0.0000)
Zn (0.0000, 0.0000, 0.1497)
Ag (0.0000, 0.0000, 0.2946)
P (0.0353, 0.3621, 0.0624)
O (0.0227, 0.1796, 0.0715)
O (0.1162, 0.4436, 0.9979)
O (0.1476, 0.4802, 0.1199)
O (0.1556, 0.4847, 0.3893)

Largest 8 diffraction maxima, in order of rising 2θ, 2θ from 10° to 90°:
2θ 20.2, rel. 100, hkl 1 1 0
2θ 24.0, rel. 66, hkl 1 1 3
2θ 32.9, rel. 80, hkl 1 1 6
2θ 35.3, rel. 47, hkl 3 0 0
2θ 47.1, rel. 25, hkl 1 2 8
2θ 49.0, rel. 31, hkl 2 2 6
2θ 55.2, rel. 24, hkl 4 1 0
2θ 61.9, rel. 26, hkl 4 1 6

2.
Starting from the PBE geometry in the Materials Project, the powder X-ray diffraction pattern of CaAs was calculated for a wavelength of 1.5418 Å.
Lines closer than 0.1° are merged.

Crystal structure
a = 5.3141 Å, b = 7.9819 Å, c = 13.5854 Å
α = 90.00°, β = 90.00°, γ = 90.00°
Space group Pbcn (No. 60)
Inequivalent atoms, fractional coordinates:
Ca (0.1161, 0.1936, 0.0767)
As (0.1120, 0.4645, 0.9187)

Largest 8 diffraction maxima, in order of rising 2θ, 2θ from 10° to 90°:
2θ 13.0, rel. 100, hkl 0 0 2
2θ 20.1, rel. 37, hkl 1 1 0
2θ 29.8, rel. 24, hkl 0 2 3
2θ 31.0, rel. 36, hkl 1 2 2
2θ 38.1, rel. 37, hkl 2 1 2
2θ 38.7, rel. 22, hkl 1 2 4
2θ 39.8, rel. 20, hkl 0 0 6
2θ 44.8, rel. 26, hkl 2 1 4

3.
Starting from the PBE geometry in the Materials Project, the powder X-ray diffraction pattern of Ti3P4NO18 was calculated for a wavelength of 1.5418 Å.
Lines closer than 0.1° are merged.

Crystal structure
a = 5.2240 Å, b = 8.3450 Å, c = 8.9026 Å
α = 109.11°, β = 92.23°, γ = 91.91°
Space group P-1 (No. 2)
Inequivalent atoms, fractional coordinates:
Ti (0.0000, 0.0000, 0.0000)
Ti (0.2635, 0.7301, 0.4282)
P (0.2075, 0.3190, 0.3422)
P (0.2518, 0.1252, 0.7045)
N (0.0000, 0.5000, 0.0000)
O (0.0405, 0.2459, 0.6914)
O (0.0515, 0.6751, 0.5822)
O (0.1876, 0.1729, 0.1770)
O (0.1967, 0.0743, 0.8544)
O (0.2154, 0.8013, 0.9723)
O (0.2454, 0.9668, 0.5560)
O (0.2704, 0.4872, 0.3123)
O (0.4240, 0.2780, 0.4419)
O (0.4825, 0.7820, 0.2724)

Largest 8 diffraction maxima, in order of rising 2θ, 2θ from 10° to 90°:
2θ 10.5, rel. 100, hkl 0 0 1
2θ 11.2, rel. 34, hkl 0 1 0
2θ 17.8, rel. 29, hkl 0 1 1
2θ 21.2, rel. 67, hkl 1 -1 1
2θ 26.3, rel. 49, hkl 1 1 -2
2θ 27.1, rel. 30, hkl 1 -1 2
2θ 28.0, rel. 57, hkl 0 2 1
2θ 30.7, rel. 26, hkl 1 2 -2

4.
Starting from the PBE geometry in the Materials Project, the powder X-ray diffraction pattern of Cs2AgBr3 was calculated for a wavelength of 1.5418 Å.
Lines closer than 0.1° are merged.

Crystal structure
a = 14.0897 Å, b = 4.8204 Å, c = 14.6569 Å
α = 90.00°, β = 90.00°, γ = 90.00°
Space group Pnma (No. 62)
Inequivalent atoms, fractional coordinates:
Cs (0.0114, 0.2500, 0.1741)
Cs (0.1724, 0.2500, 0.5191)
Ag (0.2448, 0.7500, 0.3042)
Br (0.0597, 0.7500, 0.3597)
Br (0.1379, 0.2500, 0.9509)
Br (0.2248, 0.7500, 0.7121)

Largest 8 diffraction maxima, in order of rising 2θ, 2θ from 10° to 90°:
2θ 23.0, rel. 58, hkl 1 1 2
2θ 25.5, rel. 69, hkl 2 1 2
2θ 26.0, rel. 44, hkl 0 1 3
2θ 26.7, rel. 100, hkl 1 1 3
2θ 27.4, rel. 40, hkl 2 0 4
2θ 28.1, rel. 73, hkl 4 0 2
2θ 37.3, rel. 60, hkl 0 2 0
2θ 47.4, rel. 35, hkl 4 2 2

5.
Starting from the PBE geometry in the Materials Project, the powder X-ray diffraction pattern of DyFe4Si2 was calculated for a wavelength of 1.5418 Å.
Lines closer than 0.1° are merged.

Crystal structure
a = 7.0955 Å, b = 7.0955 Å, c = 3.7435 Å
α = 90.00°, β = 90.00°, γ = 90.00°
Space group P4_2/mnm (No. 136)
Inequivalent atoms, fractional coordinates:
Dy (0.0000, 0.0000, 0.0000)
Fe (0.0851, 0.3533, 0.5000)
Si (0.2192, 0.7808, 0.5000)

Largest 8 diffraction maxima, in order of rising 2θ, 2θ from 10° to 90°:
2θ 25.1, rel. 22, hkl 2 0 0
2θ 26.9, rel. 30, hkl 1 0 1
2θ 37.1, rel. 100, hkl 2 1 1
2θ 40.2, rel. 47, hkl 3 1 0
2θ 43.4, rel. 25, hkl 2 2 1
2θ 47.2, rel. 24, hkl 3 1 1
2θ 48.6, rel. 21, hkl 0 0 2
2θ 64.9, rel. 22, hkl 3 1 2

6.
Starting from the PBE geometry in the Materials Project, the powder X-ray diffraction pattern of DySiPt was calculated for a wavelength of 1.5418 Å.
Lines closer than 0.1° are merged.

Crystal structure
a = 7.0233 Å, b = 4.2923 Å, c = 7.4790 Å
α = 90.00°, β = 90.00°, γ = 90.00°
Space group Pnma (No. 62)
Inequivalent atoms, fractional coordinates:
Dy (0.0033, 0.2500, 0.2002)
Si (0.1865, 0.2500, 0.5885)
Pt (0.1993, 0.7500, 0.4146)

Largest 8 diffraction maxima, in order of rising 2θ, 2θ from 10° to 90°:
2θ 27.1, rel. 65, hkl 1 1 1
2θ 34.3, rel. 32, hkl 1 1 2
2θ 35.1, rel. 100, hkl 2 1 1
2θ 40.4, rel. 18, hkl 3 0 1
2θ 41.9, rel. 38, hkl 0 1 3
2θ 42.1, rel. 27, hkl 0 2 0
2θ 55.9, rel. 15, hkl 2 2 2
2θ 67.7, rel. 21, hkl 3 1 4

7.
Starting from the PBE geometry in the Materials Project, the powder X-ray diffraction pattern of LiNdHg2 was calculated for a wavelength of 1.5418 Å.
Lines closer than 0.1° are merged.

Crystal structure
a = 7.2941 Å, b = 7.2941 Å, c = 7.2941 Å
α = 90.00°, β = 90.00°, γ = 90.00°
Space group Fm-3m (No. 225)
Inequivalent atoms, fractional coordinates:
Li (0.0000, 0.0000, 0.0000)
Nd (0.0000, 0.0000, 0.5000)
Hg (0.2500, 0.2500, 0.2500)

Largest 8 diffraction maxima, in order of rising 2θ, 2θ from 10° to 90°:
2θ 21.1, rel. 15, hkl 1 1 1
2θ 24.4, rel. 25, hkl 2 0 0
2θ 34.8, rel. 100, hkl 2 2 0
2θ 50.0, rel. 18, hkl 4 0 0
2θ 56.4, rel. 11, hkl 4 2 0
2θ 62.4, rel. 38, hkl 4 2 2
2θ 73.4, rel. 12, hkl 4 4 0
2θ 83.9, rel. 17, hkl 6 2 0

Repeat the seventh record exactly.
Starting from the PBE geometry in the Materials Project, the powder X-ray diffraction pattern of LiNdHg2 was calculated for a wavelength of 1.5418 Å.
Lines closer than 0.1° are merged.

Crystal structure
a = 7.2941 Å, b = 7.2941 Å, c = 7.2941 Å
α = 90.00°, β = 90.00°, γ = 90.00°
Space group Fm-3m (No. 225)
Inequivalent atoms, fractional coordinates:
Li (0.0000, 0.0000, 0.0000)
Nd (0.0000, 0.0000, 0.5000)
Hg (0.2500, 0.2500, 0.2500)

Largest 8 diffraction maxima, in order of rising 2θ, 2θ from 10° to 90°:
2θ 21.1, rel. 15, hkl 1 1 1
2θ 24.4, rel. 25, hkl 2 0 0
2θ 34.8, rel. 100, hkl 2 2 0
2θ 50.0, rel. 18, hkl 4 0 0
2θ 56.4, rel. 11, hkl 4 2 0
2θ 62.4, rel. 38, hkl 4 2 2
2θ 73.4, rel. 12, hkl 4 4 0
2θ 83.9, rel. 17, hkl 6 2 0